1.
This entry pairs a crystal structure of DyGaNO with its computed XRD peak list. Radiation: Cu Ka. Structure: a cell relaxed with GGA-PBE.
Peak positions follow from Bragg's law for the DFT cell and can differ from measured ones.

Crystal structure
a b c (Å): 5.905 7.490 5.107
angles (deg): 90.00 90.00 90.00
Fractional positions:
Dy  0.053  0.131  0.000
Dy  0.447  0.131  0.500
Dy  0.553  0.869  0.000
Dy  0.947  0.869  0.500
Ga  0.092  0.596  0.950
Ga  0.408  0.596  0.450
Ga  0.592  0.404  0.950
Ga  0.908  0.404  0.450
N  0.101  0.593  0.573
N  0.399  0.593  0.073
N  0.601  0.407  0.573
N  0.899  0.407  0.073
O  0.070  0.172  0.519
O  0.430  0.172  0.019
O  0.570  0.828  0.519
O  0.930  0.828  0.019

Peak list (8 most intense, 2θ from 10° to 90°, by intensity)
d [Å]	I_rel
2.689	100.0
2.555	63.4
2.953	27.4
3.433	27.1
3.163	24.3
1.510	20.7
1.742	20.0
1.439	18.1

2.
This entry pairs a crystal structure of Dy3Ga5Ni with its computed XRD peak list. Radiation: Cu Ka. Structure: a cell relaxed with GGA-PBE.
Peak positions follow from Bragg's law for the DFT cell and can differ from measured ones.

Crystal structure
a b c (Å): 6.875 6.875 4.214
angles (deg): 90.00 90.00 120.00
Fractional positions:
Dy  0.000  0.594  0.000
Dy  0.406  0.406  0.000
Dy  0.594  0.000  0.000
Ga  0.000  0.235  0.500
Ga  0.235  0.000  0.500
Ga  0.333  0.667  0.500
Ga  0.667  0.333  0.500
Ga  0.765  0.765  0.500
Ni  0.000  0.000  0.000

Peak list (8 most intense, 2θ from 10° to 90°, by intensity)
d [Å]	I_rel
2.664	100.0
2.431	70.8
1.538	46.3
1.300	41.2
2.250	37.1
1.985	29.8
2.107	26.9
3.438	17.0

3.
This entry pairs a crystal structure of Dy4Ga21Ni10 with its computed XRD peak list. Radiation: Cu Ka. Structure: a cell relaxed with GGA-PBE.
Peak positions follow from Bragg's law for the DFT cell and can differ from measured ones.

Crystal structure
a b c (Å): 10.649 10.649 15.502
angles (deg): 124.51 124.51 22.11
Fractional positions:
Dy  0.120  0.120  0.333
Dy  0.230  0.230  0.823
Dy  0.770  0.770  0.177
Dy  0.880  0.880  0.667
Ga  0.006  0.006  0.091
Ga  0.065  0.065  0.795
Ga  0.117  0.117  0.554
Ga  0.200  0.200  0.002
Ga  0.248  0.248  0.295
Ga  0.298  0.298  0.497
Ga  0.374  0.374  0.806
Ga  0.385  0.385  0.296
Ga  0.399  0.399  0.003
Ga  0.460  0.460  0.631
Ga  0.500  0.500  0.500
Ga  0.540  0.540  0.369
Ga  0.601  0.601  0.997
Ga  0.615  0.615  0.704
Ga  0.626  0.626  0.194
Ga  0.702  0.702  0.503
Ga  0.752  0.752  0.705
Ga  0.800  0.800  0.998
Ga  0.883  0.883  0.446
Ga  0.935  0.935  0.205
Ga  0.994  0.994  0.909
Ni  0.025  0.025  0.607
Ni  0.132  0.132  0.102
Ni  0.250  0.250  0.614
Ni  0.348  0.348  0.112
Ni  0.497  0.497  0.813
Ni  0.503  0.503  0.187
Ni  0.652  0.652  0.888
Ni  0.750  0.750  0.386
Ni  0.868  0.868  0.898
Ni  0.975  0.975  0.393

Peak list (8 most intense, 2θ from 10° to 90°, by intensity)
d [Å]	I_rel
2.367	100.0
2.042	52.4
2.327	42.2
2.438	31.5
2.134	18.7
1.976	15.4
2.655	15.3
2.253	14.8

4.
This entry pairs a crystal structure of DyGa6Ni6 with its computed XRD peak list. Radiation: Cu Ka. Structure: a cell relaxed with GGA-PBE.
Peak positions follow from Bragg's law for the DFT cell and can differ from measured ones.

Crystal structure
a b c (Å): 6.490 6.490 6.490
angles (deg): 134.52 101.07 96.13
Fractional positions:
Dy  0.000  0.000  0.000
Ga  0.186  0.686  0.500
Ga  0.343  0.000  0.343
Ga  0.345  0.345  0.000
Ga  0.655  0.655  0.000
Ga  0.657  0.000  0.657
Ga  0.814  0.314  0.500
Ni  0.000  0.000  0.500
Ni  0.000  0.500  0.000
Ni  0.238  0.500  0.738
Ni  0.500  0.000  0.000
Ni  0.500  0.500  0.500
Ni  0.762  0.500  0.262

Peak list (8 most intense, 2θ from 10° to 90°, by intensity)
d [Å]	I_rel
2.142	100.0
2.506	63.2
2.170	60.1
1.921	47.9
2.108	34.7
2.063	30.1
1.206	27.6
1.365	21.0

5.
This entry pairs a crystal structure of PrDyGaNi2 with its computed XRD peak list. Radiation: Cu Ka. Structure: a cell relaxed with GGA-PBE.
Peak positions follow from Bragg's law for the DFT cell and can differ from measured ones.

Crystal structure
a b c (Å): 5.396 5.396 5.396
angles (deg): 133.74 119.72 79.21
Fractional positions:
Pr  0.000  0.000  0.000
Dy  0.405  0.405  0.000
Ga  0.702  0.202  0.500
Ni  0.434  0.702  0.732
Ni  0.971  0.702  0.268

Peak list (8 most intense, 2θ from 10° to 90°, by intensity)
d [Å]	I_rel
2.603	100.0
2.201	45.5
3.339	38.6
2.468	32.9
2.119	30.9
2.320	27.2
2.270	27.2
1.344	26.9

6.
This entry pairs a crystal structure of Dy3GaNiSe7 with its computed XRD peak list. Radiation: Cu Ka. Structure: a cell relaxed with GGA-PBE.
Peak positions follow from Bragg's law for the DFT cell and can differ from measured ones.

Crystal structure
a b c (Å): 9.978 9.978 6.503
angles (deg): 90.00 90.00 120.00
Fractional positions:
Dy  0.160  0.786  0.000
Dy  0.214  0.374  0.000
Dy  0.374  0.160  0.500
Dy  0.626  0.840  0.000
Dy  0.786  0.626  0.500
Dy  0.840  0.214  0.500
Ga  0.333  0.667  0.425
Ga  0.667  0.333  0.925
Ni  0.000  0.000  0.326
Ni  0.000  0.000  0.826
Se  0.082  0.520  0.268
Se  0.104  0.869  0.593
Se  0.131  0.234  0.593
Se  0.234  0.104  0.093
Se  0.333  0.667  0.796
Se  0.439  0.918  0.268
Se  0.480  0.561  0.268
Se  0.520  0.439  0.768
Se  0.561  0.082  0.768
Se  0.667  0.333  0.296
Se  0.766  0.896  0.593
Se  0.869  0.766  0.093
Se  0.896  0.131  0.093
Se  0.918  0.480  0.768

Peak list (8 most intense, 2θ from 10° to 90°, by intensity)
d [Å]	I_rel
3.599	100.0
2.598	96.1
2.495	94.2
2.634	84.5
2.919	72.6
1.937	54.3
2.304	44.1
5.196	33.7

7.
This entry pairs a crystal structure of Dy4GaSi4Ni2 with its computed XRD peak list. Radiation: Cu Ka. Structure: a cell relaxed with GGA-PBE.
Peak positions follow from Bragg's law for the DFT cell and can differ from measured ones.

Crystal structure
a b c (Å): 7.850 7.850 6.846
angles (deg): 107.50 107.50 30.83
Fractional positions:
Dy  0.088  0.088  0.382
Dy  0.152  0.152  0.941
Dy  0.848  0.848  0.059
Dy  0.912  0.912  0.618
Ga  0.500  0.500  0.000
Si  0.291  0.291  0.716
Si  0.437  0.437  0.341
Si  0.563  0.563  0.659
Si  0.709  0.709  0.284
Ni  0.286  0.286  0.354
Ni  0.714  0.714  0.646

Peak list (8 most intense, 2θ from 10° to 90°, by intensity)
d [Å]	I_rel
2.536	100.0
2.630	75.8
2.424	64.3
4.008	54.0
2.086	53.9
2.435	47.6
2.368	42.6
3.147	35.6

8.
This entry pairs a crystal structure of TbDy2Ga3Si2Ni with its computed XRD peak list. Radiation: Cu Ka. Structure: a cell relaxed with GGA-PBE.
Peak positions follow from Bragg's law for the DFT cell and can differ from measured ones.

Crystal structure
a b c (Å): 4.153 6.880 6.880
angles (deg): 120.05 90.00 90.00
Fractional positions:
Tb  0.000  0.000  0.000
Dy  0.000  0.193  0.596
Dy  0.000  0.596  0.193
Ga  0.500  0.361  0.361
Ga  0.500  0.596  0.832
Ga  0.500  0.832  0.596
Si  0.500  0.264  0.929
Si  0.500  0.929  0.264
Ni  0.000  0.595  0.595

Peak list (8 most intense, 2θ from 10° to 90°, by intensity)
d [Å]	I_rel
2.649	100.0
2.420	62.6
2.251	38.6
1.535	28.1
3.439	24.6
2.077	23.6
1.526	22.5
1.298	16.4

9.
This entry pairs a crystal structure of SmDyGa5 with its computed XRD peak list. Radiation: Cu Ka. Structure: a cell relaxed with GGA-PBE.
Peak positions follow from Bragg's law for the DFT cell and can differ from measured ones.

Crystal structure
a b c (Å): 4.285 4.285 8.293
angles (deg): 90.00 90.00 90.00
Fractional positions:
Sm  0.000  0.000  0.000
Dy  0.000  0.000  0.500
Ga  0.000  0.500  0.258
Ga  0.000  0.500  0.742
Ga  0.500  0.000  0.258
Ga  0.500  0.000  0.742
Ga  0.500  0.500  0.000

Peak list (8 most intense, 2θ from 10° to 90°, by intensity)
d [Å]	I_rel
2.447	100.0
2.143	34.0
4.285	26.0
1.288	25.4
2.980	20.9
1.490	20.7
2.073	15.5
1.257	11.3

10.
This entry pairs a crystal structure of DyTm2Ga with its computed XRD peak list. Radiation: Cu Ka. Structure: a cell relaxed with GGA-PBE.
Peak positions follow from Bragg's law for the DFT cell and can differ from measured ones.

Crystal structure
a b c (Å): 4.814 6.706 6.706
angles (deg): 102.36 90.00 90.00
Fractional positions:
Dy  0.250  0.114  0.886
Dy  0.750  0.886  0.114
Tm  0.250  0.179  0.416
Tm  0.250  0.704  0.480
Tm  0.750  0.416  0.179
Tm  0.750  0.480  0.704
Ga  0.250  0.615  0.972
Ga  0.750  0.972  0.615

Peak list (8 most intense, 2θ from 10° to 90°, by intensity)
d [Å]	I_rel
2.708	100.0
2.407	20.4
2.612	19.4
2.675	17.6
1.441	12.5
1.770	12.3
3.879	10.3
1.444	9.2

11.
This entry pairs a crystal structure of DyTmGa2 with its computed XRD peak list. Radiation: Cu Ka. Structure: a cell relaxed with GGA-PBE.
Peak positions follow from Bragg's law for the DFT cell and can differ from measured ones.

Crystal structure
a b c (Å): 5.254 6.544 6.544
angles (deg): 124.90 90.00 90.00
Fractional positions:
Dy  0.250  0.181  0.819
Dy  0.750  0.819  0.181
Tm  0.250  0.629  0.771
Tm  0.750  0.771  0.629
Ga  0.250  0.145  0.282
Ga  0.250  0.674  0.328
Ga  0.750  0.282  0.145
Ga  0.750  0.328  0.674

Peak list (8 most intense, 2θ from 10° to 90°, by intensity)
d [Å]	I_rel
2.540	100.0
2.390	97.9
2.627	57.7
2.684	44.1
1.877	30.9
3.754	27.2
1.385	22.6
1.467	21.0

12.
This entry pairs a crystal structure of Dy2Tm3Ga3 with its computed XRD peak list. Radiation: Cu Ka. Structure: a cell relaxed with GGA-PBE.
Peak positions follow from Bragg's law for the DFT cell and can differ from measured ones.

Crystal structure
a b c (Å): 6.556 4.779 6.605
angles (deg): 90.00 106.97 90.00
Fractional positions:
Dy  0.000  0.000  0.000
Dy  0.309  0.500  0.793
Tm  0.298  0.500  0.289
Tm  0.591  0.000  0.578
Tm  0.800  0.500  0.296
Ga  0.104  0.000  0.488
Ga  0.497  0.000  0.098
Ga  0.801  0.500  0.784

Peak list (8 most intense, 2θ from 10° to 90°, by intensity)
d [Å]	I_rel
2.635	100.0
2.621	96.1
2.644	45.7
2.390	43.9
1.773	28.0
3.546	20.6
1.958	17.1
1.420	16.7

13.
This entry pairs a crystal structure of Dy2Tm5Ga with its computed XRD peak list. Radiation: Cu Ka. Structure: a cell relaxed with GGA-PBE.
Peak positions follow from Bragg's law for the DFT cell and can differ from measured ones.

Crystal structure
a b c (Å): 5.432 6.952 6.952
angles (deg): 59.91 90.00 90.00
Fractional positions:
Dy  0.000  0.000  0.000
Dy  0.500  0.343  0.343
Tm  0.000  0.511  0.999
Tm  0.000  0.999  0.511
Tm  0.500  0.342  0.829
Tm  0.500  0.829  0.342
Tm  0.500  0.837  0.837
Ga  0.000  0.506  0.506

Peak list (8 most intense, 2θ from 10° to 90°, by intensity)
d [Å]	I_rel
2.632	100.0
2.716	24.3
3.009	24.3
1.463	21.9
1.551	20.1
1.737	19.2
1.450	15.8
2.016	15.7